Entry 1:
For Pm2S3, a structure optimized by DFT (PBE) gives the computed PXRD pattern in this record (λ = 1.5418 Å (Cu Kα)).
No peak broadening, texture or thermal motion is included.

Most intense lines, 2θ = 5–70°, in order of rising 2θ:
2θ (°)	I (rel.)	hkl
23.29	100.0	2 0 2
23.77	46.2	0 1 1
25.14	43.3	1 1 1
25.81	55.2	3 0 1
26.37	48.4	1 0 3
29.09	51.3	1 1 2
32.42	36.5	2 1 2
34.76	59.7	1 1 3
43.52	36.5	4 1 2
45.36	38.3	0 2 0

```
data_Pm2S3
_cell_length_a 10.9472
_cell_length_b 3.9985
_cell_length_c 10.6595
_cell_angle_alpha 90.00
_cell_angle_beta 90.00
_cell_angle_gamma 90.00
_space_group_name_H-M_alt 'P n m a'
_space_group_IT_number 62
loop_
_space_group_symop_operation_xyz
'x,y,z'
'-x,-y,-z'
'-x+1/2,-y,z+1/2'
'x+1/2,y,-z+1/2'
'x+1/2,-y+1/2,-z+1/2'
'-x+1/2,y+1/2,z+1/2'
'-x,y+1/2,-z'
'x,-y+1/2,z'
loop_
_atom_site_label
_atom_site_type_symbol
_atom_site_fract_x
_atom_site_fract_y
_atom_site_fract_z
Pm1 Pm 0.0091 0.2500 0.1863
Pm2 Pm 0.1920 0.2500 0.5046
S1 S 0.0458 0.7500 0.3735
S2 S 0.1205 0.2500 0.9446
S3 S 0.2292 0.7500 0.6986
```



Entry 2:
For Tb4Te3N2, a structure optimized by DFT (PBE) gives the computed PXRD pattern in this record (λ = 1.5418 Å (Cu Kα)).
No peak broadening, texture or thermal motion is included.

Most intense lines, 2θ = 5–70°, in order of rising 2θ:
2θ (°)	I (rel.)	hkl
25.34	32.3	1 2 2
26.74	29.5	2 1 1
27.18	25.0	1 3 1
28.23	31.5	1 1 3
29.90	58.9	2 2 1
30.66	100.0	1 3 2
32.50	23.8	0 0 4
35.44	27.3	2 1 3
38.15	22.9	1 2 4
38.50	23.7	3 1 1

```
data_Tb4Te3N2
_cell_length_a 7.3334
_cell_length_b 11.6673
_cell_length_c 11.0202
_cell_angle_alpha 90.00
_cell_angle_beta 90.00
_cell_angle_gamma 90.00
_space_group_name_H-M_alt 'P n n a'
_space_group_IT_number 52
loop_
_space_group_symop_operation_xyz
'x,y,z'
'-x,-y,-z'
'-x+1/2,-y,z'
'x+1/2,y,-z'
'x,-y+1/2,-z+1/2'
'-x,y+1/2,z+1/2'
'-x+1/2,y+1/2,-z+1/2'
'x+1/2,-y+1/2,z+1/2'
loop_
_atom_site_label
_atom_site_type_symbol
_atom_site_fract_x
_atom_site_fract_y
_atom_site_fract_z
Tb1 Tb 0.0258 0.0912 0.1764
Tb2 Tb 0.1640 0.6534 0.1161
Te1 Te 0.1329 0.1625 0.9174
Te2 Te 0.2500 0.0000 0.6109
N1 N 0.1580 0.2500 0.2500
N2 N 0.2500 0.0000 0.2750
```



Entry 3:
For Li2Zr2InGaIr2, a structure optimized by DFT (PBE) gives the computed PXRD pattern in this record (λ = 1.5418 Å (Cu Kα)).
No peak broadening, texture or thermal motion is included.

Most intense lines, 2θ = 5–70°, in order of rising 2θ:
2θ (°)	I (rel.)	hkl
24.00	56.7	1 0 1
31.16	1.0	1 1 1
34.15	0.7	1 0 2
39.69	100.0	2 0 0
46.83	9.4	1 0 3
46.97	19.3	2 1 1
57.23	5.5	0 0 4
57.47	11.3	2 2 0
63.06	7.8	2 1 3
63.17	4.0	3 0 1

```
data_Li2Zr2InGaIr2
_cell_length_a 4.5355
_cell_length_b 4.5355
_cell_length_c 6.4390
_cell_angle_alpha 90.00
_cell_angle_beta 90.00
_cell_angle_gamma 90.00
_space_group_name_H-M_alt 'P -4 m 2'
_space_group_IT_number 115
loop_
_space_group_symop_operation_xyz
'x,y,z'
'y,-x,-z'
'-x,-y,z'
'-y,x,-z'
'-x,y,z'
'-y,-x,-z'
'x,-y,z'
'y,x,-z'
loop_
_atom_site_label
_atom_site_type_symbol
_atom_site_fract_x
_atom_site_fract_y
_atom_site_fract_z
Li1 Li 0.0000 0.5000 0.2378
Zr1 Zr 0.0000 0.0000 0.0000
Zr2 Zr 0.5000 0.5000 0.5000
In1 In 0.0000 0.0000 0.5000
Ga1 Ga 0.5000 0.5000 0.0000
Ir1 Ir 0.0000 0.5000 0.7601
```



Entry 4:
For ErTm2NiGe3Ir2, a structure optimized by DFT (PBE) gives the computed PXRD pattern in this record (λ = 1.5418 Å (Cu Kα)).
No peak broadening, texture or thermal motion is included.

Most intense lines, 2θ = 5–70°, in order of rising 2θ:
2θ (°)	I (rel.)	hkl
14.56	19.6	0 2 0
25.37	15.1	0 3 1
34.71	100.0	1 0 2
37.83	62.9	1 2 2
39.16	20.1	0 5 1
44.75	22.0	0 3 3
46.07	12.3	1 5 1
47.64	20.4	2 0 0
63.34	14.7	2 5 1
67.39	19.4	2 6 0

```
data_ErTm2NiGe3Ir2
_cell_length_a 3.8174
_cell_length_b 12.1847
_cell_length_c 7.0092
_cell_angle_alpha 90.00
_cell_angle_beta 90.00
_cell_angle_gamma 90.00
_space_group_name_H-M_alt 'A m m 2'
_space_group_IT_number 38
loop_
_space_group_symop_operation_xyz
'x,y,z'
'-x,-y,z'
'-x,y,z'
'x,-y,z'
'x,y+1/2,z+1/2'
'-x,-y+1/2,z+1/2'
'-x,y+1/2,z+1/2'
'x,-y+1/2,z+1/2'
loop_
_atom_site_label
_atom_site_type_symbol
_atom_site_fract_x
_atom_site_fract_y
_atom_site_fract_z
Er1 Er 0.0000 0.0000 0.0000
Tm1 Tm 0.0000 0.2005 0.6020
Ni1 Ni 0.0000 0.0000 0.4025
Ge1 Ge 0.5000 0.0000 0.6522
Ge2 Ge 0.5000 0.1253 0.2766
Ir1 Ir 0.5000 0.1676 0.9013
```



Entry 5:
For Zn2PHO5, a structure optimized by DFT (PBE) gives the computed PXRD pattern in this record (λ = 1.5418 Å (Cu Kα)).
No peak broadening, texture or thermal motion is included.

Most intense lines, 2θ = 5–70°, in order of rising 2θ:
2θ (°)	I (rel.)	hkl
15.38	99.8	1 1 0
18.28	64.8	0 1 1
18.55	85.8	1 0 1
24.73	46.0	2 1 0
31.04	81.1	2 2 0
33.80	100.0	1 1 2
34.22	42.6	1 3 0
35.40	52.9	3 1 0
37.01	76.3	0 2 2
56.98	47.0	3 3 2

```
data_Zn2PHO5
_cell_length_a 7.9865
_cell_length_b 8.3229
_cell_length_c 5.9746
_cell_angle_alpha 90.00
_cell_angle_beta 90.00
_cell_angle_gamma 90.00
_space_group_name_H-M_alt 'P n n m'
_space_group_IT_number 58
loop_
_space_group_symop_operation_xyz
'x,y,z'
'-x,-y,-z'
'-x,-y,z'
'x,y,-z'
'x+1/2,-y+1/2,-z+1/2'
'-x+1/2,y+1/2,z+1/2'
'-x+1/2,y+1/2,-z+1/2'
'x+1/2,-y+1/2,z+1/2'
loop_
_atom_site_label
_atom_site_type_symbol
_atom_site_fract_x
_atom_site_fract_y
_atom_site_fract_z
Zn1 Zn 0.0000 0.0000 0.2470
Zn2 Zn 0.1373 0.3637 0.0000
P1 P 0.2479 0.2432 0.5000
H1 H 0.2322 0.0785 0.0000
O1 O 0.0757 0.1550 0.5000
O2 O 0.1147 0.6106 0.0000
O3 O 0.1198 0.1244 0.0000
O4 O 0.2328 0.8522 0.2090
```



Entry 6:
For Ba8USi2S14, a structure optimized by DFT (PBE) gives the computed PXRD pattern in this record (λ = 1.5418 Å (Cu Kα)).
No peak broadening, texture or thermal motion is included.

Most intense lines, 2θ = 5–70°, in order of rising 2θ:
2θ (°)	I (rel.)	hkl
7.95	29.2	2 0 0
22.40	30.8	6 0 -1
22.61	94.9	5 1 -1
23.57	100.0	1 1 -2
24.82	89.6	0 2 0
29.65	34.8	6 0 1
31.05	36.7	7 1 -2
32.26	77.6	6 0 -3
33.50	57.1	4 2 1
33.69	30.4	6 2 -1

```
data_Ba8USi2S14
_cell_length_a 23.8815
_cell_length_b 7.1740
_cell_length_c 9.0296
_cell_angle_alpha 90.00
_cell_angle_beta 111.32
_cell_angle_gamma 90.00
_space_group_name_H-M_alt 'C 1 2/m 1'
_space_group_IT_number 12
loop_
_space_group_symop_operation_xyz
'x,y,z'
'-x,-y,-z'
'-x,y,-z'
'x,-y,z'
'x+1/2,y+1/2,z'
'-x+1/2,-y+1/2,-z'
'-x+1/2,y+1/2,-z'
'x+1/2,-y+1/2,z'
loop_
_atom_site_label
_atom_site_type_symbol
_atom_site_fract_x
_atom_site_fract_y
_atom_site_fract_z
Ba1 Ba 0.0293 0.0000 0.3160
Ba2 Ba 0.0915 0.5000 0.9725
Ba3 Ba 0.1769 0.5000 0.5041
Ba4 Ba 0.1845 0.0000 0.8470
U1 U 0.0000 0.5000 0.5000
Si1 Si 0.1676 0.0000 0.2134
S1 S 0.0447 0.5000 0.2566
S2 S 0.0800 0.0000 0.0379
S3 S 0.0831 0.2548 0.6541
S4 S 0.1742 0.0000 0.4528
S5 S 0.2122 0.2444 0.1764
```



Entry 7:
For Al3InAu2, a structure optimized by DFT (PBE) gives the computed PXRD pattern in this record (λ = 1.5418 Å (Cu Kα)).
No peak broadening, texture or thermal motion is included.

Most intense lines, 2θ = 5–70°, in order of rising 2θ:
2θ (°)	I (rel.)	hkl
20.24	4.1	1 0 0
24.85	100.0	1 0 1
28.77	11.8	1 1 0
32.25	6.3	1 1 1
35.42	4.5	1 0 2
41.13	85.7	2 0 0
48.65	48.7	2 1 1
59.58	14.0	2 2 0
65.55	19.3	3 0 1
67.48	4.1	3 1 0

```
data_Al3InAu2
_cell_length_a 4.3883
_cell_length_b 4.3883
_cell_length_c 6.2096
_cell_angle_alpha 90.00
_cell_angle_beta 90.00
_cell_angle_gamma 90.00
_space_group_name_H-M_alt 'P -4 m 2'
_space_group_IT_number 115
loop_
_space_group_symop_operation_xyz
'x,y,z'
'y,-x,-z'
'-x,-y,z'
'-y,x,-z'
'-x,y,z'
'-y,-x,-z'
'x,-y,z'
'y,x,-z'
loop_
_atom_site_label
_atom_site_type_symbol
_atom_site_fract_x
_atom_site_fract_y
_atom_site_fract_z
Al1 Al 0.0000 0.0000 0.0000
Al2 Al 0.0000 0.0000 0.5000
Al3 Al 0.5000 0.5000 0.0000
In1 In 0.5000 0.5000 0.5000
Au1 Au 0.0000 0.5000 0.7701
```



Entry 8:
For LaPmBr2O2, a structure optimized by DFT (PBE) gives the computed PXRD pattern in this record (λ = 1.5418 Å (Cu Kα)).
No peak broadening, texture or thermal motion is included.

Most intense lines, 2θ = 5–70°, in order of rising 2θ:
2θ (°)	I (rel.)	hkl
10.47	28.9	0 0 1
30.72	100.0	1 0 2
31.51	45.3	1 1 0
38.20	9.8	1 1 2
45.17	22.2	2 0 0
48.71	10.9	1 0 4
54.12	15.5	1 1 4
55.62	36.7	2 1 2
65.79	7.0	2 2 0
68.60	7.7	2 1 4

```
data_LaPmBr2O2
_cell_length_a 4.0147
_cell_length_b 4.0147
_cell_length_c 8.4490
_cell_angle_alpha 90.00
_cell_angle_beta 90.00
_cell_angle_gamma 90.00
_space_group_name_H-M_alt 'P 4 m m'
_space_group_IT_number 99
loop_
_space_group_symop_operation_xyz
'x,y,z'
'-y,x,z'
'-x,-y,z'
'y,-x,z'
'-x,y,z'
'y,x,z'
'x,-y,z'
'-y,-x,z'
loop_
_atom_site_label
_atom_site_type_symbol
_atom_site_fract_x
_atom_site_fract_y
_atom_site_fract_z
La1 La 0.0000 0.0000 0.0000
Pm1 Pm 0.5000 0.5000 0.7133
Br1 Br 0.0000 0.0000 0.5222
Br2 Br 0.5000 0.5000 0.1919
O1 O 0.0000 0.5000 0.8518
```



Entry 9:
For LaDyZn2Ge2, a structure optimized by DFT (PBE) gives the computed PXRD pattern in this record (λ = 1.5418 Å (Cu Kα)).
No peak broadening, texture or thermal motion is included.

Most intense lines, 2θ = 5–70°, in order of rising 2θ:
2θ (°)	I (rel.)	hkl
10.89	5.1	0 0 2
23.88	13.6	1 0 0
32.62	100.0	1 0 4
42.00	48.3	1 1 0
44.63	8.0	0 0 8
46.08	6.3	1 0 7
51.24	7.5	1 0 8
54.17	23.5	2 0 4
62.95	17.0	1 1 8
68.33	6.6	1 0 11

```
data_LaDyZn2Ge2
_cell_length_a 4.3023
_cell_length_b 4.3023
_cell_length_c 16.2443
_cell_angle_alpha 90.00
_cell_angle_beta 90.00
_cell_angle_gamma 120.00
_space_group_name_H-M_alt 'P 63/m m c'
_space_group_IT_number 194
_space_group_name_Hall '-P 6c 2c'
loop_
_atom_site_label
_atom_site_type_symbol
_atom_site_fract_x
_atom_site_fract_y
_atom_site_fract_z
La1 La 0.0000 0.0000 0.0000
Dy1 Dy 0.0000 0.0000 0.2500
Zn1 Zn 0.3333 0.6667 0.1548
Ge1 Ge 0.3333 0.6667 0.6198
```



Entry 10:
For NdBi2O4, a structure optimized by DFT (PBE) gives the computed PXRD pattern in this record (λ = 1.5418 Å (Cu Kα)).
No peak broadening, texture or thermal motion is included.

Most intense lines, 2θ = 5–70°, in order of rising 2θ:
2θ (°)	I (rel.)	hkl
26.04	10.9	1 1 1
28.75	100.0	3 1 -1
29.56	50.3	6 0 0
29.99	58.6	3 1 1
39.81	12.7	6 0 -2
42.42	23.5	0 2 0
51.19	16.0	9 1 -1
52.02	10.6	0 2 2
52.56	20.8	6 2 0
53.49	21.6	9 1 1

```
data_NdBi2O4
_cell_length_a 18.1947
_cell_length_b 4.2612
_cell_length_c 6.2444
_cell_angle_alpha 90.00
_cell_angle_beta 94.75
_cell_angle_gamma 90.00
_space_group_name_H-M_alt 'C 1 2/m 1'
_space_group_IT_number 12
loop_
_space_group_symop_operation_xyz
'x,y,z'
'-x,-y,-z'
'-x,y,-z'
'x,-y,z'
'x+1/2,y+1/2,z'
'-x+1/2,-y+1/2,-z'
'-x+1/2,y+1/2,-z'
'x+1/2,-y+1/2,z'
loop_
_atom_site_label
_atom_site_type_symbol
_atom_site_fract_x
_atom_site_fract_y
_atom_site_fract_z
Nd1 Nd 0.2456 0.0000 0.2425
Bi1 Bi 0.0806 0.5000 0.2824
Bi2 Bi 0.0827 0.0000 0.8339
O1 O 0.1094 0.5000 0.9379
O2 O 0.1134 0.0000 0.2108
O3 O 0.1885 0.5000 0.4239
O4 O 0.2044 0.0000 0.8620
```



Entry 11:
For Nd3GaSe6, a structure optimized by DFT (PBE) gives the computed PXRD pattern in this record (λ = 1.5418 Å (Cu Kα)).
No peak broadening, texture or thermal motion is included.

Most intense lines, 2θ = 5–70°, in order of rising 2θ:
2θ (°)	I (rel.)	hkl
16.13	22.1	1 1 1
23.61	100.0	2 2 1
23.91	55.0	1 3 1
32.60	87.8	3 3 1
35.40	82.2	3 1 2
36.02	65.8	0 4 2
39.28	60.5	3 5 0
46.19	30.3	3 1 3
46.69	22.2	0 4 3
47.41	32.6	6 0 0

```
data_Nd3GaSe6
_cell_length_a 11.5078
_cell_length_b 14.3103
_cell_length_c 6.9537
_cell_angle_alpha 90.00
_cell_angle_beta 90.00
_cell_angle_gamma 90.00
_space_group_name_H-M_alt 'C m c 21'
_space_group_IT_number 36
loop_
_space_group_symop_operation_xyz
'x,y,z'
'-x,-y,z+1/2'
'-x,y,z'
'x,-y,z+1/2'
'x+1/2,y+1/2,z'
'-x+1/2,-y+1/2,z+1/2'
'-x+1/2,y+1/2,z'
'x+1/2,-y+1/2,z+1/2'
loop_
_atom_site_label
_atom_site_type_symbol
_atom_site_fract_x
_atom_site_fract_y
_atom_site_fract_z
Nd1 Nd 0.0000 0.0986 0.0000
Nd2 Nd 0.1836 0.4019 0.0984
Ga1 Ga 0.0000 0.2999 0.6353
Se1 Se 0.0000 0.2813 0.2870
Se2 Se 0.0000 0.4598 0.7775
Se3 Se 0.1618 0.0312 0.2986
Se4 Se 0.1662 0.2359 0.8095
```



Entry 12:
For FeCl3, a structure optimized by DFT (PBE) gives the computed PXRD pattern in this record (λ = 1.5418 Å (Cu Kα)).
No peak broadening, texture or thermal motion is included.

Most intense lines, 2θ = 5–70°, in order of rising 2θ:
2θ (°)	I (rel.)	hkl
20.21	93.1	0 1 2
27.77	30.6	1 0 4
34.04	100.0	1 1 3
36.17	12.4	2 0 2
41.09	15.9	0 2 4
44.92	63.2	1 1 6
47.46	14.4	1 2 2
51.50	12.3	2 1 4
52.66	39.5	3 0 0
59.52	15.8	1 1 9

```
data_FeCl3
_cell_length_a 6.0205
_cell_length_b 6.0205
_cell_length_c 16.3169
_cell_angle_alpha 90.00
_cell_angle_beta 90.00
_cell_angle_gamma 120.00
_space_group_name_H-M_alt 'R -3 c'
_space_group_IT_number 167
_space_group_name_Hall '-R 3 2"c'
loop_
_atom_site_label
_atom_site_type_symbol
_atom_site_fract_x
_atom_site_fract_y
_atom_site_fract_z
Fe1 Fe 0.0000 0.0000 0.0000
Cl1 Cl 0.0000 0.3449 0.2500
```